The following is a simulated X-ray powder pattern of Cs2ScInO4. It was derived from a DFT-relaxed cell (PBE, Alexandria), using copper Kα.

Cell and atoms:
```
data_Cs2ScInO4
_space_group_name_H-M_alt 'P 1'
_space_group_IT_number 1
_cell_length_a 12.842
_cell_length_b 11.342
_cell_length_c 7.226
_cell_angle_alpha 84.42
_cell_angle_beta 61.52
_cell_angle_gamma 34.06
loop_
_space_group_symop_operation_xyz
'x,y,z'
loop_
_atom_site_label
_atom_site_type_symbol
_atom_site_fract_x
_atom_site_fract_y
_atom_site_fract_z
Cs1 Cs 0.051 0.051 0.699
Cs2 Cs 0.301 0.301 0.949
Cs3 Cs 0.699 0.699 0.051
Cs4 Cs 0.949 0.949 0.301
Sc1 Sc 0.125 0.125 0.125
Sc2 Sc 0.875 0.875 0.875
In1 In 0.375 0.375 0.375
In2 In 0.625 0.625 0.625
O1 O 0.018 0.322 0.399
O2 O 0.239 0.601 0.678
O3 O 0.322 0.018 0.761
O4 O 0.399 0.761 0.018
O5 O 0.601 0.239 0.982
O6 O 0.678 0.982 0.239
O7 O 0.761 0.399 0.322
O8 O 0.982 0.678 0.601
```

The 6 most intense peaks (2θ from 10° to 90°), most intense first:
| Position (°2θ) | d/Å | Rel. int. |
| --- | --- | --- |
| 21.0 | 4.238 | 100.0 |
| 27.8 | 3.208 | 91.8 |
| 28.3 | 3.149 | 78.6 |
| 34.5 | 2.599 | 48.7 |
| 26.8 | 3.326 | 47.1 |
| 49.1 | 1.855 | 37.1 |



The following is a simulated X-ray powder pattern of CsInSe2O10. It was derived from a DFT-relaxed cell (PBE, Alexandria), using copper Kα.

Cell and atoms:
```
data_CsInSe2O10
_space_group_name_H-M_alt 'P 1'
_space_group_IT_number 1
_cell_length_a 8.638
_cell_length_b 8.638
_cell_length_c 7.772
_cell_angle_alpha 100.42
_cell_angle_beta 100.42
_cell_angle_gamma 113.52
loop_
_space_group_symop_operation_xyz
'x,y,z'
loop_
_atom_site_label
_atom_site_type_symbol
_atom_site_fract_x
_atom_site_fract_y
_atom_site_fract_z
Cs1 Cs 0.125 0.875 0.750
Cs2 Cs 0.875 0.125 0.250
In1 In 0.335 0.665 0.250
In2 In 0.665 0.335 0.750
Se1 Se 0.115 0.397 0.818
Se2 Se 0.397 0.115 0.318
Se3 Se 0.603 0.885 0.682
Se4 Se 0.885 0.603 0.182
O1 O 0.073 0.604 0.294
O2 O 0.074 0.254 0.944
O3 O 0.203 0.352 0.653
O4 O 0.234 0.383 0.234
O5 O 0.245 0.604 0.954
O6 O 0.254 0.074 0.444
O7 O 0.352 0.203 0.153
O8 O 0.383 0.234 0.734
O9 O 0.396 0.755 0.546
O10 O 0.396 0.927 0.206
O11 O 0.604 0.073 0.794
O12 O 0.604 0.245 0.454
O13 O 0.617 0.766 0.266
O14 O 0.648 0.797 0.847
O15 O 0.746 0.926 0.556
O16 O 0.755 0.396 0.046
O17 O 0.766 0.617 0.766
O18 O 0.797 0.648 0.347
O19 O 0.926 0.746 0.056
O20 O 0.927 0.396 0.706
```

The 6 most intense peaks (2θ from 10° to 90°), most intense first:
| Position (°2θ) | d/Å | Rel. int. |
| --- | --- | --- |
| 23.1 | 3.844 | 100.0 |
| 29.3 | 3.044 | 56.0 |
| 24.3 | 3.668 | 43.4 |
| 24.6 | 3.612 | 38.5 |
| 14.2 | 6.223 | 16.8 |
| 34.9 | 2.574 | 15.6 |



The following is a simulated X-ray powder pattern of Cs2InSe2O6. It was derived from a DFT-relaxed cell (PBE, Alexandria), using copper Kα.

Cell and atoms:
```
data_Cs2InSe2O6
_space_group_name_H-M_alt 'P 1'
_space_group_IT_number 1
_cell_length_a 8.674
_cell_length_b 8.674
_cell_length_c 8.674
_cell_angle_alpha 42.67
_cell_angle_beta 42.67
_cell_angle_gamma 42.67
loop_
_space_group_symop_operation_xyz
'x,y,z'
loop_
_atom_site_label
_atom_site_type_symbol
_atom_site_fract_x
_atom_site_fract_y
_atom_site_fract_z
Cs1 Cs 0.237 0.237 0.237
Cs2 Cs 0.763 0.763 0.763
In1 In 0.500 0.500 0.500
Se1 Se 0.079 0.079 0.079
Se2 Se 0.921 0.921 0.921
O1 O 0.186 0.745 0.745
O2 O 0.255 0.255 0.814
O3 O 0.255 0.814 0.255
O4 O 0.745 0.186 0.745
O5 O 0.745 0.745 0.186
O6 O 0.814 0.255 0.255
```

The 6 most intense peaks (2θ from 10° to 90°), most intense first:
| Position (°2θ) | d/Å | Rel. int. |
| --- | --- | --- |
| 28.3 | 3.156 | 100.0 |
| 11.2 | 7.872 | 53.2 |
| 22.2 | 4.011 | 46.8 |
| 31.2 | 2.871 | 45.0 |
| 42.6 | 2.124 | 30.0 |
| 36.2 | 2.480 | 27.9 |



The following is a simulated X-ray powder pattern of CsInTe3O8. It was derived from a DFT-relaxed cell (PBE, Alexandria), using copper Kα.

Cell and atoms:
```
data_CsInTe3O8
_space_group_name_H-M_alt 'P 1'
_space_group_IT_number 1
_cell_length_a 5.893
_cell_length_b 7.990
_cell_length_c 11.432
_cell_angle_alpha 78.98
_cell_angle_beta 89.60
_cell_angle_gamma 70.94
loop_
_space_group_symop_operation_xyz
'x,y,z'
loop_
_atom_site_label
_atom_site_type_symbol
_atom_site_fract_x
_atom_site_fract_y
_atom_site_fract_z
Cs1 Cs 0.172 0.112 0.336
Cs2 Cs 0.828 0.888 0.664
In1 In 0.000 0.500 0.000
In2 In 0.500 0.500 0.500
Te1 Te 0.066 0.334 0.649
Te2 Te 0.216 0.019 0.919
Te3 Te 0.486 0.530 0.162
Te4 Te 0.514 0.470 0.838
Te5 Te 0.784 0.981 0.081
Te6 Te 0.934 0.666 0.351
O1 O 0.117 0.959 0.103
O2 O 0.178 0.724 0.425
O3 O 0.190 0.259 0.926
O4 O 0.230 0.087 0.732
O5 O 0.251 0.625 0.907
O6 O 0.264 0.405 0.155
O7 O 0.270 0.327 0.519
O8 O 0.394 0.563 0.677
O9 O 0.606 0.437 0.323
O10 O 0.730 0.673 0.481
O11 O 0.736 0.595 0.845
O12 O 0.749 0.375 0.093
O13 O 0.770 0.913 0.268
O14 O 0.810 0.741 0.074
O15 O 0.822 0.276 0.575
O16 O 0.883 0.041 0.897
```

The 6 most intense peaks (2θ from 10° to 90°), most intense first:
| Position (°2θ) | d/Å | Rel. int. |
| --- | --- | --- |
| 30.3 | 2.946 | 100.0 |
| 26.0 | 3.423 | 67.0 |
| 24.1 | 3.698 | 53.7 |
| 29.6 | 3.017 | 51.6 |
| 26.7 | 3.341 | 43.9 |
| 26.8 | 3.321 | 36.1 |



The following is a simulated X-ray powder pattern of Cs2TmInO4. It was derived from a DFT-relaxed cell (PBE, Alexandria), using copper Kα.

Cell and atoms:
```
data_Cs2TmInO4
_space_group_name_H-M_alt 'P 1'
_space_group_IT_number 1
_cell_length_a 13.063
_cell_length_b 11.559
_cell_length_c 7.351
_cell_angle_alpha 84.26
_cell_angle_beta 61.70
_cell_angle_gamma 34.05
loop_
_space_group_symop_operation_xyz
'x,y,z'
loop_
_atom_site_label
_atom_site_type_symbol
_atom_site_fract_x
_atom_site_fract_y
_atom_site_fract_z
Cs1 Cs 0.055 0.055 0.695
Cs2 Cs 0.305 0.305 0.945
Cs3 Cs 0.695 0.695 0.055
Cs4 Cs 0.945 0.945 0.305
Tm1 Tm 0.125 0.125 0.125
Tm2 Tm 0.875 0.875 0.875
In1 In 0.375 0.375 0.375
In2 In 0.625 0.625 0.625
O1 O 0.007 0.331 0.418
O2 O 0.255 0.582 0.669
O3 O 0.331 0.007 0.745
O4 O 0.418 0.745 0.007
O5 O 0.582 0.255 0.993
O6 O 0.669 0.993 0.255
O7 O 0.745 0.418 0.331
O8 O 0.993 0.669 0.582
```

The 6 most intense peaks (2θ from 10° to 90°), most intense first:
| Position (°2θ) | d/Å | Rel. int. |
| --- | --- | --- |
| 27.3 | 3.263 | 100.0 |
| 33.5 | 2.677 | 60.0 |
| 26.4 | 3.374 | 53.4 |
| 15.8 | 5.593 | 52.2 |
| 47.9 | 1.899 | 50.6 |
| 39.2 | 2.297 | 39.1 |



The following is a simulated X-ray powder pattern of Cs3InP2. It was derived from a DFT-relaxed cell (PBE, Alexandria), using copper Kα.

Cell and atoms:
```
data_Cs3InP2
_space_group_name_H-M_alt 'P 1'
_space_group_IT_number 1
_cell_length_a 9.870
_cell_length_b 13.048
_cell_length_c 16.091
_cell_angle_alpha 80.80
_cell_angle_beta 81.67
_cell_angle_gamma 71.02
loop_
_space_group_symop_operation_xyz
'x,y,z'
loop_
_atom_site_label
_atom_site_type_symbol
_atom_site_fract_x
_atom_site_fract_y
_atom_site_fract_z
Cs1 Cs 0.032 0.132 0.451
Cs2 Cs 0.040 0.146 0.917
Cs3 Cs 0.094 0.164 0.175
Cs4 Cs 0.094 0.516 0.188
Cs5 Cs 0.227 0.272 0.645
Cs6 Cs 0.239 0.831 0.275
Cs7 Cs 0.287 0.532 0.752
Cs8 Cs 0.288 0.807 0.879
Cs9 Cs 0.352 0.267 0.326
Cs10 Cs 0.386 0.666 0.515
Cs11 Cs 0.440 0.610 0.083
Cs12 Cs 0.461 0.022 0.798
Cs13 Cs 0.539 0.978 0.202
Cs14 Cs 0.560 0.390 0.917
Cs15 Cs 0.614 0.334 0.485
Cs16 Cs 0.648 0.733 0.674
Cs17 Cs 0.712 0.193 0.121
Cs18 Cs 0.713 0.468 0.248
Cs19 Cs 0.761 0.169 0.725
Cs20 Cs 0.773 0.728 0.355
Cs21 Cs 0.906 0.484 0.812
Cs22 Cs 0.906 0.836 0.825
Cs23 Cs 0.960 0.854 0.083
Cs24 Cs 0.968 0.868 0.549
In1 In 0.140 0.522 0.439
In2 In 0.161 0.394 0.988
In3 In 0.363 0.989 0.573
In4 In 0.414 0.143 0.993
In5 In 0.586 0.857 0.007
In6 In 0.637 0.011 0.427
In7 In 0.839 0.606 0.012
In8 In 0.860 0.478 0.561
P1 P 0.035 0.580 0.586
P2 P 0.109 0.609 0.960
P3 P 0.153 0.992 0.678
P4 P 0.296 0.281 0.861
P5 P 0.311 0.970 0.039
P6 P 0.351 0.541 0.342
P7 P 0.352 0.291 0.100
P8 P 0.412 0.948 0.418
P9 P 0.588 0.052 0.582
P10 P 0.648 0.709 0.900
P11 P 0.649 0.459 0.658
P12 P 0.689 0.030 0.961
P13 P 0.704 0.719 0.139
P14 P 0.847 0.008 0.322
P15 P 0.891 0.391 0.040
P16 P 0.965 0.420 0.414
```

The 6 most intense peaks (2θ from 10° to 90°), most intense first:
| Position (°2θ) | d/Å | Rel. int. |
| --- | --- | --- |
| 28.2 | 3.163 | 100.0 |
| 26.4 | 3.377 | 78.4 |
| 28.0 | 3.186 | 68.3 |
| 28.1 | 3.170 | 55.5 |
| 24.5 | 3.629 | 49.0 |
| 29.2 | 3.062 | 48.5 |



The following is a simulated X-ray powder pattern of CsPaInSe4. It was derived from a DFT-relaxed cell (PBE, Alexandria), using copper Kα.

Cell and atoms:
```
data_CsPaInSe4
_space_group_name_H-M_alt 'P 1'
_space_group_IT_number 1
_cell_length_a 8.687
_cell_length_b 8.687
_cell_length_c 8.687
_cell_angle_alpha 119.03
_cell_angle_beta 107.94
_cell_angle_gamma 101.93
loop_
_space_group_symop_operation_xyz
'x,y,z'
loop_
_atom_site_label
_atom_site_type_symbol
_atom_site_fract_x
_atom_site_fract_y
_atom_site_fract_z
Cs1 Cs 0.440 0.190 0.250
Cs2 Cs 0.560 0.810 0.750
Pa1 Pa 0.000 0.000 0.500
Pa2 Pa 0.000 0.500 0.000
In1 In 0.000 0.500 0.500
In2 In 0.500 0.500 0.000
Se1 Se 0.152 0.230 0.922
Se2 Se 0.192 0.770 0.422
Se3 Se 0.247 0.304 0.557
Se4 Se 0.247 0.691 0.943
Se5 Se 0.753 0.309 0.057
Se6 Se 0.753 0.696 0.443
Se7 Se 0.808 0.230 0.578
Se8 Se 0.848 0.770 0.078
```

The 6 most intense peaks (2θ from 10° to 90°), most intense first:
| Position (°2θ) | d/Å | Rel. int. |
| --- | --- | --- |
| 34.3 | 2.617 | 100.0 |
| 11.8 | 7.469 | 77.0 |
| 23.4 | 3.796 | 76.3 |
| 42.7 | 2.115 | 67.5 |
| 26.7 | 3.337 | 66.9 |
| 17.4 | 5.110 | 49.4 |



The following is a simulated X-ray powder pattern of CsInPb4. It was derived from a DFT-relaxed cell (PBE, Alexandria), using copper Kα.

Cell and atoms:
```
data_CsInPb4
_space_group_name_H-M_alt 'P 1'
_space_group_IT_number 1
_cell_length_a 6.634
_cell_length_b 8.557
_cell_length_c 9.615
_cell_angle_alpha 64.83
_cell_angle_beta 78.59
_cell_angle_gamma 83.10
loop_
_space_group_symop_operation_xyz
'x,y,z'
loop_
_atom_site_label
_atom_site_type_symbol
_atom_site_fract_x
_atom_site_fract_y
_atom_site_fract_z
Cs1 Cs 0.250 0.000 0.250
Cs2 Cs 0.750 0.000 0.750
In1 In 0.000 0.500 0.000
In2 In 0.500 0.500 0.500
Pb1 Pb 0.103 0.376 0.405
Pb2 Pb 0.195 0.295 0.787
Pb3 Pb 0.305 0.704 0.713
Pb4 Pb 0.397 0.624 0.094
Pb5 Pb 0.603 0.376 0.906
Pb6 Pb 0.695 0.296 0.287
Pb7 Pb 0.805 0.705 0.213
Pb8 Pb 0.897 0.624 0.595
```

The 6 most intense peaks (2θ from 10° to 90°), most intense first:
| Position (°2θ) | d/Å | Rel. int. |
| --- | --- | --- |
| 11.4 | 7.738 | 100.0 |
| 31.7 | 2.821 | 75.3 |
| 26.5 | 3.365 | 63.3 |
| 34.1 | 2.632 | 57.4 |
| 30.6 | 2.920 | 51.3 |
| 29.4 | 3.040 | 44.5 |



The following is a simulated X-ray powder pattern of CsIn6Pb6. It was derived from a DFT-relaxed cell (PBE, Alexandria), using copper Kα.

Cell and atoms:
```
data_CsIn6Pb6
_space_group_name_H-M_alt 'P 1'
_space_group_IT_number 1
_cell_length_a 8.419
_cell_length_b 8.419
_cell_length_c 8.419
_cell_angle_alpha 90.00
_cell_angle_beta 90.00
_cell_angle_gamma 90.00
loop_
_space_group_symop_operation_xyz
'x,y,z'
loop_
_atom_site_label
_atom_site_type_symbol
_atom_site_fract_x
_atom_site_fract_y
_atom_site_fract_z
Cs1 Cs 0.000 0.000 0.000
In1 In 0.000 0.251 0.500
In2 In 0.000 0.749 0.500
In3 In 0.251 0.500 0.000
In4 In 0.500 0.000 0.251
In5 In 0.500 0.000 0.749
In6 In 0.749 0.500 0.000
Pb1 Pb 0.000 0.500 0.250
Pb2 Pb 0.000 0.500 0.750
Pb3 Pb 0.250 0.000 0.500
Pb4 Pb 0.500 0.250 0.000
Pb5 Pb 0.500 0.750 0.000
Pb6 Pb 0.750 0.000 0.500
```

The 6 most intense peaks (2θ from 10° to 90°), most intense first:
| Position (°2θ) | d/Å | Rel. int. |
| --- | --- | --- |
| 25.9 | 3.437 | 100.0 |
| 14.9 | 5.953 | 78.6 |
| 37.0 | 2.430 | 72.2 |
| 40.1 | 2.250 | 63.8 |
| 43.0 | 2.105 | 46.5 |
| 21.1 | 4.209 | 41.0 |



The following is a simulated X-ray powder pattern of Cs3In2Pb2. It was derived from a DFT-relaxed cell (PBE, Alexandria), using copper Kα.

Cell and atoms:
```
data_Cs3In2Pb2
_space_group_name_H-M_alt 'P 1'
_space_group_IT_number 1
_cell_length_a 7.766
_cell_length_b 10.515
_cell_length_c 16.341
_cell_angle_alpha 90.00
_cell_angle_beta 90.00
_cell_angle_gamma 90.00
loop_
_space_group_symop_operation_xyz
'x,y,z'
loop_
_atom_site_label
_atom_site_type_symbol
_atom_site_fract_x
_atom_site_fract_y
_atom_site_fract_z
Cs1 Cs 0.108 0.125 0.106
Cs2 Cs 0.108 0.125 0.394
Cs3 Cs 0.108 0.375 0.606
Cs4 Cs 0.108 0.375 0.894
Cs5 Cs 0.321 0.727 0.750
Cs6 Cs 0.321 0.773 0.250
Cs7 Cs 0.679 0.227 0.750
Cs8 Cs 0.679 0.273 0.250
Cs9 Cs 0.892 0.625 0.106
Cs10 Cs 0.892 0.625 0.394
Cs11 Cs 0.892 0.875 0.606
Cs12 Cs 0.892 0.875 0.894
In1 In 0.389 0.024 0.587
In2 In 0.389 0.024 0.913
In3 In 0.389 0.476 0.087
In4 In 0.389 0.476 0.413
In5 In 0.611 0.524 0.587
In6 In 0.611 0.524 0.913
In7 In 0.611 0.976 0.087
In8 In 0.611 0.976 0.413
Pb1 Pb 0.215 0.088 0.750
Pb2 Pb 0.215 0.412 0.250
Pb3 Pb 0.414 0.750 0.000
Pb4 Pb 0.414 0.750 0.500
Pb5 Pb 0.586 0.250 0.000
Pb6 Pb 0.586 0.250 0.500
Pb7 Pb 0.785 0.588 0.750
Pb8 Pb 0.785 0.912 0.250
```

The 6 most intense peaks (2θ from 10° to 90°), most intense first:
| Position (°2θ) | d/Å | Rel. int. |
| --- | --- | --- |
| 29.5 | 3.028 | 100.0 |
| 27.9 | 3.195 | 87.2 |
| 24.4 | 3.643 | 77.1 |
| 30.0 | 2.979 | 58.4 |
| 23.5 | 3.783 | 56.6 |
| 15.2 | 5.835 | 50.1 |



The following is a simulated X-ray powder pattern of Cs4InPb4. It was derived from a DFT-relaxed cell (PBE, Alexandria), using copper Kα.

Cell and atoms:
```
data_Cs4InPb4
_space_group_name_H-M_alt 'P 1'
_space_group_IT_number 1
_cell_length_a 9.990
_cell_length_b 9.990
_cell_length_c 9.990
_cell_angle_alpha 134.67
_cell_angle_beta 134.67
_cell_angle_gamma 66.04
loop_
_space_group_symop_operation_xyz
'x,y,z'
loop_
_atom_site_label
_atom_site_type_symbol
_atom_site_fract_x
_atom_site_fract_y
_atom_site_fract_z
Cs1 Cs 0.203 0.203 0.642
Cs2 Cs 0.439 0.797 0.000
Cs3 Cs 0.561 0.561 0.358
Cs4 Cs 0.797 0.439 0.000
In1 In 0.000 0.000 0.000
Pb1 Pb 0.010 0.010 0.713
Pb2 Pb 0.297 0.297 0.287
Pb3 Pb 0.703 0.990 0.000
Pb4 Pb 0.990 0.703 0.000
```

The 6 most intense peaks (2θ from 10° to 90°), most intense first:
| Position (°2θ) | d/Å | Rel. int. |
| --- | --- | --- |
| 26.4 | 3.373 | 100.0 |
| 37.5 | 2.401 | 44.7 |
| 16.3 | 5.444 | 36.0 |
| 21.2 | 4.188 | 35.9 |
| 30.5 | 2.931 | 24.9 |
| 12.7 | 6.996 | 24.7 |